For TbHo2Al7Cu2, a crystal structure in OQMD, relaxed with GGA-PBE gives the calculated PXRD pattern in this record (Cu Kα X-rays).

Largest 6 diffraction maxima, by angle, 2θ = 15–90°:
(1 0 1), 19.0°, intensity 43; (0 0 6), 21.0°, intensity 31; (1 0 7), 31.0°, intensity 52; (1 1 0), 32.7°, intensity 89; (0 1 8), 34.0°, intensity 33; (1 1 6), 39.2°, intensity 100

Cell and atoms:
a = 5.4831 Å, b = 5.4831 Å, c = 25.3868 Å
α = 90.00°, β = 90.00°, γ = 120.00°
Space group R-3m (No. 166, hexagonal axes)
Asymmetric unit:
Tb 0.0000 0.0000 0.0000
Ho 0.0000 0.0000 0.1420
Al 0.0000 0.0000 0.5000
Al 0.0063 0.5032 0.9214
Cu 0.0000 0.0000 0.3353